[1]
Structure and theoretical PXRD pattern of Mg3Ag (a structure optimized by DFT (PBE); CuKα).

Main lines, by angle (10° ≤ 2θ ≤ 90°):
d/Å	2θ/deg	I_rel	h k l
4.345	20.4	49	0 0 2
4.119	21.6	34	1 0 0
3.722	23.9	98	1 0 1
2.378	37.8	91	1 1 0
2.369	38.0	100	1 0 3
2.086	43.4	40	1 1 2
1.678	54.7	33	2 0 3
1.604	57.5	20	1 1 4
1.372	68.4	47	3 0 0
1.237	77.1	20	1 1 6

Structural model:
```
data_Mg3Ag
_symmetry_space_group_name_H-M 'P 63/m m c'
_symmetry_Int_Tables_number 194
_symmetry_space_group_name_Hall '-P 6c 2c'
_cell_length_a 4.7559
_cell_length_b 4.7559
_cell_length_c 8.6892
_cell_angle_alpha 90.00
_cell_angle_beta 90.00
_cell_angle_gamma 120.00
loop_
_atom_site_label
_atom_site_type_symbol
_atom_site_fract_x
_atom_site_fract_y
_atom_site_fract_z
Mg1 Mg 0.0000 0.0000 0.2500
Mg2 Mg 0.3333 0.6667 0.0772
Ag1 Ag 0.3333 0.6667 0.7500
```

***

[2]
Structure and theoretical PXRD pattern of Sc4Ga3Sn (a structure optimized by DFT (PBE); CuKα).

Main lines, by angle (10° ≤ 2θ ≤ 90°):
d/Å	2θ/deg	I_rel	h k l
5.191	17.1	23	0 0 2
3.843	23.1	36	0 1 1
2.752	32.5	99	1 1 1
2.596	34.6	29	0 0 4
2.202	41.0	100	1 1 3
2.168	41.7	29	1 0 4
2.068	43.8	29	0 2 0
1.971	46.0	25	2 0 0
1.496	62.0	17	1 2 4
1.427	65.4	17	2 2 0

Structural model:
```
data_Sc4Ga3Sn
_symmetry_space_group_name_H-M 'P m m 2'
_symmetry_Int_Tables_number 25
_cell_length_a 3.9422
_cell_length_b 4.1366
_cell_length_c 10.3815
_cell_angle_alpha 90.00
_cell_angle_beta 90.00
_cell_angle_gamma 90.00
loop_
_symmetry_equiv_pos_as_xyz
'x,y,z'
'-x,-y,z'
'-x,y,z'
'x,-y,z'
loop_
_atom_site_label
_atom_site_type_symbol
_atom_site_fract_x
_atom_site_fract_y
_atom_site_fract_z
Sc1 Sc 0.0000 0.0000 0.0000
Sc2 Sc 0.0000 0.5000 0.4852
Sc3 Sc 0.5000 0.0000 0.7127
Sc4 Sc 0.5000 0.5000 0.2223
Ga1 Ga 0.0000 0.0000 0.2746
Ga2 Ga 0.5000 0.0000 0.4374
Ga3 Ga 0.5000 0.5000 0.9523
Sn1 Sn 0.0000 0.5000 0.7716
```

***

[3]
Structure and theoretical PXRD pattern of Sr3DyTm3Te8 (a structure optimized by DFT (PBE); CuKα).

Main lines, by angle (10° ≤ 2θ ≤ 90°):
d/Å	2θ/deg	I_rel	h k l
7.590	11.7	19	0 0 3
3.172	28.1	100	0 2 4
2.477	36.3	7	0 2 7
2.282	39.5	38	2 0 8
2.205	40.9	37	2 2 0
1.811	50.4	20	4 0 4
1.586	58.2	12	0 4 8
1.438	64.8	16	2 2 12
1.399	66.9	17	2 4 4
1.288	73.6	12	4 2 8

Structural model:
```
data_Sr3DyTm3Te8
_symmetry_space_group_name_H-M 'R -3 m'
_symmetry_Int_Tables_number 166
_symmetry_space_group_name_Hall '-R 3 2"'
_cell_length_a 8.8212
_cell_length_b 8.8212
_cell_length_c 22.7696
_cell_angle_alpha 90.00
_cell_angle_beta 90.00
_cell_angle_gamma 120.00
loop_
_atom_site_label
_atom_site_type_symbol
_atom_site_fract_x
_atom_site_fract_y
_atom_site_fract_z
Sr1 Sr 0.0000 0.5000 0.0000
Dy1 Dy 0.0000 0.0000 0.5000
Tm1 Tm 0.0000 0.5000 0.5000
Te1 Te 0.0000 0.0000 0.2423
Te2 Te 0.0076 0.5038 0.7568
```

***

[4]
Structure and theoretical PXRD pattern of Tb3Si2Ni6 (a structure optimized by DFT (PBE); CuKα).

Main lines, by angle (10° ≤ 2θ ≤ 90°):
d/Å	2θ/deg	I_rel	h k l
3.591	24.8	20	2 1 1
3.110	28.7	16	2 2 0
2.781	32.2	41	3 1 0
2.539	35.4	28	2 2 2
2.351	38.3	31	3 2 1
2.199	41.0	25	4 0 0
2.073	43.7	100	3 3 0
1.427	65.4	21	5 3 2
1.326	71.1	18	6 2 2
1.197	80.2	22	6 3 3

Structural model:
```
data_Tb3Si2Ni6
_symmetry_space_group_name_H-M 'I m -3 m'
_symmetry_Int_Tables_number 229
_symmetry_space_group_name_Hall '-I 4 2 3'
_cell_length_a 8.7953
_cell_length_b 8.7953
_cell_length_c 8.7953
_cell_angle_alpha 90.00
_cell_angle_beta 90.00
_cell_angle_gamma 90.00
loop_
_atom_site_label
_atom_site_type_symbol
_atom_site_fract_x
_atom_site_fract_y
_atom_site_fract_z
Tb1 Tb 0.0000 0.0000 0.2862
Si1 Si 0.2500 0.2500 0.2500
Ni1 Ni 0.0000 0.3300 0.3300
```

***

[5]
Structure and theoretical PXRD pattern of Li2NdInI6 (a structure optimized by DFT (PBE); CuKα).

Main lines, by angle (10° ≤ 2θ ≤ 90°):
d/Å	2θ/deg	I_rel	h k l
5.787	15.3	21	0 1 2
4.244	20.9	18	1 0 4
3.604	24.7	17	0 0 6
3.468	25.7	100	2 -1 3
3.266	27.3	25	2 0 2
2.664	33.6	48	2 -1 6
2.517	35.7	15	0 1 8
2.284	39.5	32	3 0 0
2.053	44.1	24	1 1 9
1.907	47.7	13	2 2 3

Structural model:
```
data_Li2NdInI6
_symmetry_space_group_name_H-M 'R 3'
_symmetry_Int_Tables_number 146
_symmetry_space_group_name_Hall 'R 3'
_cell_length_a 7.9119
_cell_length_b 7.9119
_cell_length_c 21.6216
_cell_angle_alpha 90.00
_cell_angle_beta 90.00
_cell_angle_gamma 120.00
loop_
_atom_site_label
_atom_site_type_symbol
_atom_site_fract_x
_atom_site_fract_y
_atom_site_fract_z
Li1 Li 0.0000 0.0000 0.0000
Li2 Li 0.0000 0.0000 0.4967
Nd1 Nd 0.0000 0.0000 0.6833
In1 In 0.0000 0.0000 0.1948
I1 I 0.9998 0.3503 0.7513
I2 I 0.0054 0.6043 0.2551
```

***

[6]
Structure and theoretical PXRD pattern of Li2Cd9Rh (a structure optimized by DFT (PBE); CuKα).

Main lines, by angle (10° ≤ 2θ ≤ 90°):
d/Å	2θ/deg	I_rel	h k l
7.127	12.4	37	0 0 1
2.466	36.4	91	1 -1 2
2.448	36.7	90	1 2 -1
2.414	37.3	100	-1 1 2
2.399	37.5	95	1 2 3
2.377	37.8	89	0 3 1
2.326	38.7	87	2 1 1
1.782	51.3	33	0 0 4
1.415	66.0	29	2 1 -3
1.362	68.9	28	3 0 -1

Structural model:
```
data_Li2Cd9Rh
_symmetry_space_group_name_H-M 'P -1'
_symmetry_Int_Tables_number 2
_cell_length_a 4.6533
_cell_length_b 7.4783
_cell_length_c 7.7967
_cell_angle_alpha 69.30
_cell_angle_beta 72.82
_cell_angle_gamma 72.58
loop_
_symmetry_equiv_pos_as_xyz
'x,y,z'
'-x,-y,-z'
loop_
_atom_site_label
_atom_site_type_symbol
_atom_site_fract_x
_atom_site_fract_y
_atom_site_fract_z
Li1 Li 0.1553 0.1921 0.0004
Cd1 Cd 0.0799 0.6009 0.7346
Cd2 Cd 0.2401 0.7897 0.2266
Cd3 Cd 0.3363 0.3146 0.5177
Cd4 Cd 0.4149 0.9139 0.7560
Cd5 Cd 0.5000 0.5000 0.0000
Rh1 Rh 0.0000 0.0000 0.5000
```

***

[7]
Structure and theoretical PXRD pattern of LiHf3Np4As8 (a structure optimized by DFT (PBE); CuKα).

Main lines, by angle (10° ≤ 2θ ≤ 90°):
d/Å	2θ/deg	I_rel	h k l
3.391	26.3	9	0 2 1
3.246	27.5	23	2 0 2
2.805	31.9	100	0 2 4
1.990	45.6	38	2 2 0
1.976	45.9	36	2 0 8
1.623	56.7	20	4 0 4
1.402	66.7	12	0 4 8
1.258	75.6	17	2 4 4
1.251	76.1	16	2 2 12
1.146	84.5	13	4 2 8

Structural model:
```
data_LiHf3Np4As8
_symmetry_space_group_name_H-M 'R -3 m'
_symmetry_Int_Tables_number 166
_symmetry_space_group_name_Hall '-R 3 2"'
_cell_length_a 7.9616
_cell_length_b 7.9616
_cell_length_c 19.2893
_cell_angle_alpha 90.00
_cell_angle_beta 90.00
_cell_angle_gamma 120.00
loop_
_atom_site_label
_atom_site_type_symbol
_atom_site_fract_x
_atom_site_fract_y
_atom_site_fract_z
Li1 Li 0.0000 0.0000 0.0000
Hf1 Hf 0.0000 0.5000 0.0000
Np1 Np 0.0000 0.0000 0.5000
Np2 Np 0.0000 0.5000 0.5000
As1 As 0.0000 0.0000 0.2554
As2 As 0.0017 0.5009 0.2556
```

***

[8]
Structure and theoretical PXRD pattern of Sm2Dy2Er (a structure optimized by DFT (PBE); CuKα).

Main lines, by angle (10° ≤ 2θ ≤ 90°):
d/Å	2θ/deg	I_rel	h k l
3.147	28.4	24	3 1 1
2.849	31.4	24	4 0 -2
2.755	32.5	100	2 2 -1
2.112	42.8	16	1 1 -3
1.817	50.2	20	6 0 2
1.626	56.6	21	6 2 -3
1.532	60.4	23	2 0 4
1.517	61.1	16	4 2 3
1.164	82.9	14	5 5 0
1.121	86.9	8	2 0 -6

Structural model:
```
data_Sm2Dy2Er
_symmetry_space_group_name_H-M 'C 1 2/c 1'
_symmetry_Int_Tables_number 15
_cell_length_a 15.7779
_cell_length_b 6.2934
_cell_length_c 6.7576
_cell_angle_alpha 90.00
_cell_angle_beta 103.74
_cell_angle_gamma 90.00
loop_
_symmetry_equiv_pos_as_xyz
'x,y,z'
'-x,-y,-z'
'-x,y,-z+1/2'
'x,-y,z+1/2'
'x+1/2,y+1/2,z'
'-x+1/2,-y+1/2,-z'
'-x+1/2,y+1/2,-z+1/2'
'x+1/2,-y+1/2,z+1/2'
loop_
_atom_site_label
_atom_site_type_symbol
_atom_site_fract_x
_atom_site_fract_y
_atom_site_fract_z
Sm1 Sm 0.1991 0.0856 0.1516
Dy1 Dy 0.0982 0.4168 0.4517
Er1 Er 0.0000 0.0832 0.7500
```

***

[9]
Structure and theoretical PXRD pattern of CaMgGa2 (a structure optimized by DFT (PBE); CuKα).

Main lines, by angle (10° ≤ 2θ ≤ 90°):
d/Å	2θ/deg	I_rel	h k l
4.098	21.7	73	0 1 1
2.933	30.5	44	0 0 4
2.811	31.8	100	2 1 0
2.709	33.1	63	1 1 3
2.312	39.0	37	1 1 4
2.187	41.3	51	0 2 0
2.074	43.6	59	3 0 3
2.030	44.6	31	2 1 4
2.006	45.2	38	3 1 2
1.505	61.6	40	3 2 3

Structural model:
```
data_CaMgGa2
_symmetry_space_group_name_H-M 'P n m a'
_symmetry_Int_Tables_number 62
_cell_length_a 7.3392
_cell_length_b 4.3733
_cell_length_c 11.7335
_cell_angle_alpha 90.00
_cell_angle_beta 90.00
_cell_angle_gamma 90.00
loop_
_symmetry_equiv_pos_as_xyz
'x,y,z'
'-x,-y,-z'
'-x+1/2,-y,z+1/2'
'x+1/2,y,-z+1/2'
'x+1/2,-y+1/2,-z+1/2'
'-x+1/2,y+1/2,z+1/2'
'-x,y+1/2,-z'
'x,-y+1/2,z'
loop_
_atom_site_label
_atom_site_type_symbol
_atom_site_fract_x
_atom_site_fract_y
_atom_site_fract_z
Ca1 Ca 0.1447 0.2500 0.1449
Mg1 Mg 0.1382 0.2500 0.4468
Ga1 Ga 0.0230 0.2500 0.6707
Ga2 Ga 0.1749 0.2500 0.8616
```

***

[10]
Structure and theoretical PXRD pattern of SmThPt10 (a structure optimized by DFT (PBE); CuKα).

Main lines, by angle (10° ≤ 2θ ≤ 90°):
d/Å	2θ/deg	I_rel	h k l
4.675	19.0	30	0 0 2
3.226	27.7	22	1 1 1
2.341	38.5	29	0 2 2
2.313	38.9	50	1 2 0
2.307	39.1	100	1 1 3
2.228	40.5	51	2 0 0
2.072	43.7	43	1 2 2
1.473	63.1	25	1 3 3
1.301	72.7	25	3 2 0
1.153	83.9	26	2 2 6

Structural model:
```
data_SmThPt10
_symmetry_space_group_name_H-M 'P m m m'
_symmetry_Int_Tables_number 47
_cell_length_a 4.4554
_cell_length_b 5.4130
_cell_length_c 9.3268
_cell_angle_alpha 90.00
_cell_angle_beta 90.00
_cell_angle_gamma 90.00
loop_
_symmetry_equiv_pos_as_xyz
'x,y,z'
'-x,-y,-z'
'-x,-y,z'
'x,y,-z'
'x,-y,-z'
'-x,y,z'
'-x,y,-z'
'x,-y,z'
loop_
_atom_site_label
_atom_site_type_symbol
_atom_site_fract_x
_atom_site_fract_y
_atom_site_fract_z
Sm1 Sm 0.0000 0.0000 0.0000
Th1 Th 0.0000 0.5000 0.5000
Pt1 Pt 0.0000 0.0000 0.3331
Pt2 Pt 0.0000 0.5000 0.1675
Pt3 Pt 0.5000 0.0000 0.5000
Pt4 Pt 0.5000 0.2515 0.2514
Pt5 Pt 0.5000 0.5000 0.0000
```

***

[11]
Structure and theoretical PXRD pattern of YEr2ScAs4 (a structure optimized by DFT (PBE); CuKα).

Main lines, by angle (10° ≤ 2θ ≤ 90°):
d/Å	2θ/deg	I_rel	h k l
6.606	13.4	13	0 0 1
3.451	25.8	11	1 1 0
3.304	27.0	8	2 0 0
2.861	31.3	100	1 1 1
2.625	34.2	6	1 1 -2
2.023	44.8	73	0 2 0
1.652	55.6	25	2 2 -2
1.431	65.2	12	2 2 2
1.279	74.1	32	1 3 1
1.168	82.6	24	1 3 -3

Structural model:
```
data_YEr2ScAs4
_symmetry_space_group_name_H-M 'P 1 2/m 1'
_symmetry_Int_Tables_number 10
_cell_length_a 7.0046
_cell_length_b 4.0488
_cell_length_c 7.0068
_cell_angle_alpha 90.00
_cell_angle_beta 109.47
_cell_angle_gamma 90.00
loop_
_symmetry_equiv_pos_as_xyz
'x,y,z'
'-x,-y,-z'
'-x,y,-z'
'x,-y,z'
loop_
_atom_site_label
_atom_site_type_symbol
_atom_site_fract_x
_atom_site_fract_y
_atom_site_fract_z
Y1 Y 0.0000 0.0000 0.0000
Er1 Er 0.0000 0.5000 0.5000
Er2 Er 0.5000 0.0000 0.5000
Sc1 Sc 0.5000 0.5000 0.0000
As1 As 0.2560 0.5000 0.2479
As2 As 0.2591 0.0000 0.7571
```

***

[12]
Structure and theoretical PXRD pattern of Pm2TmTeO8 (a structure optimized by DFT (PBE); CuKα).

Main lines, by angle (10° ≤ 2θ ≤ 90°):
d/Å	2θ/deg	I_rel	h k l
3.682	24.2	61	0 2 0
3.602	24.7	54	2 0 0
2.868	31.2	100	1 1 2
2.575	34.8	30	2 2 0
1.928	47.1	42	1 3 2
1.905	47.8	37	3 1 2
1.618	56.9	11	4 2 0
1.537	60.2	23	3 3 2
1.434	65.0	11	2 2 4
1.180	81.6	15	4 2 4

Structural model:
```
data_Pm2TmTeO8
_symmetry_space_group_name_H-M 'C m m m'
_symmetry_Int_Tables_number 65
_symmetry_space_group_name_Hall '-C 2 2'
_cell_length_a 7.2041
_cell_length_b 7.3631
_cell_length_c 6.9079
_cell_angle_alpha 90.00
_cell_angle_beta 90.00
_cell_angle_gamma 90.00
loop_
_atom_site_label
_atom_site_type_symbol
_atom_site_fract_x
_atom_site_fract_y
_atom_site_fract_z
Pm1 Pm 0.0000 0.0000 0.2496
Tm1 Tm 0.0000 0.5000 0.0000
Te1 Te 0.0000 0.5000 0.5000
O1 O 0.0000 0.3230 0.2861
O2 O 0.2002 0.0000 0.0000
O3 O 0.2319 0.0000 0.5000
```

***

[13]
Structure and theoretical PXRD pattern of Cs3KAu (a structure optimized by DFT (PBE); CuKα).

Main lines, by angle (10° ≤ 2θ ≤ 90°):
d/Å	2θ/deg	I_rel	h k l
6.153	14.4	55	0 0 4
4.422	20.1	99	1 1 1
4.102	21.7	65	0 0 6
3.534	25.2	80	1 2 0
3.397	26.2	100	1 2 2
3.317	26.9	52	0 1 7
3.065	29.1	58	1 2 4
2.744	32.6	33	1 3 1
2.678	33.5	64	1 2 6
2.474	36.3	36	0 4 0

Structural model:
```
data_Cs3KAu
_symmetry_space_group_name_H-M 'A m m 2'
_symmetry_Int_Tables_number 38
_cell_length_a 5.0519
_cell_length_b 9.8933
_cell_length_c 24.6138
_cell_angle_alpha 90.00
_cell_angle_beta 90.00
_cell_angle_gamma 90.00
loop_
_symmetry_equiv_pos_as_xyz
'x,y,z'
'-x,-y,z'
'-x,y,z'
'x,-y,z'
'x,y+1/2,z+1/2'
'-x,-y+1/2,z+1/2'
'-x,y+1/2,z+1/2'
'x,-y+1/2,z+1/2'
loop_
_atom_site_label
_atom_site_type_symbol
_atom_site_fract_x
_atom_site_fract_y
_atom_site_fract_z
Cs1 Cs 0.0000 0.0000 0.0000
Cs2 Cs 0.5000 0.2452 0.8326
K1 K 0.5000 0.0000 0.1701
Au1 Au 0.0000 0.0000 0.8568
```